# Zr6Tl2Ir
Theoretical powder XRD pattern, Cu Kα. Input: a cell relaxed with PBE.
Intensities are scaled so that the largest is 100.

Largest 10 diffraction maxima, by angle, 2θ = 10–80°:
| 2θ (°) | intensity |
| --- | --- |
| 21.65 | 64 |
| 28.64 | 30 |
| 33.34 | 34 |
| 33.84 | 70 |
| 36.18 | 100 |
| 37.96 | 89 |
| 42.56 | 78 |
| 59.58 | 24 |
| 62.97 | 46 |
| 66.86 | 34 |

Structural model:
```
Zr6Tl2Ir
1.0
8.2111 0.0000 0.0000
-4.1055 7.1110 0.0000
0.0000 0.0000 3.4675
Zr Tl Ir
6 2 1
Cartesian
-1.0326 1.7884 0.0000 Zr
-2.5050 4.3388 1.7338 Zr
2.0651 0.0000 0.0000 Zr
1.6005 2.7722 1.7338 Zr
5.0101 0.0000 1.7338 Zr
3.0730 5.3225 0.0000 Zr
0.0000 4.7407 0.0000 Tl
4.1055 2.3703 0.0000 Tl
0.0000 0.0000 1.7338 Ir
```



# Tm4Ir3
Theoretical powder XRD pattern, Cu Kα. Input: a cell relaxed with PBE.
Intensities are scaled so that the largest is 100.

Largest 10 diffraction maxima, by angle, 2θ = 10–80°:
| 2θ (°) | intensity |
| --- | --- |
| 11.35 | 12 |
| 21.96 | 9 |
| 22.93 | 8 |
| 28.91 | 5 |
| 37.75 | 100 |
| 37.91 | 99 |
| 54.58 | 35 |
| 68.06 | 18 |
| 68.38 | 36 |
| 68.48 | 18 |

Structural model:
```
Tm4Ir3
1.0
2.3731 1.3701 7.7978
-2.3731 1.3701 7.7978
0.0000 -2.7403 7.7978
Tm Ir
4 3
Cartesian
0.0000 0.0000 2.8945 Tm
0.0000 0.0000 8.7579 Tm
0.0000 0.0000 14.6356 Tm
0.0000 0.0000 20.4991 Tm
0.0000 0.0000 5.8489 Ir
0.0000 0.0000 11.6968 Ir
0.0000 0.0000 17.5447 Ir
```



# Tm3Ir2
Theoretical powder XRD pattern, Cu Kα. Input: a cell relaxed with PBE.
Intensities are scaled so that the largest is 100.

Largest 10 diffraction maxima, by angle, 2θ = 10–80°:
| 2θ (°) | intensity |
| --- | --- |
| 14.92 | 18 |
| 21.80 | 27 |
| 37.39 | 54 |
| 37.53 | 100 |
| 38.18 | 93 |
| 38.35 | 46 |
| 54.62 | 50 |
| 67.09 | 18 |
| 68.39 | 17 |
| 68.68 | 18 |

Structural model:
```
Tm3Ir2
1.0
4.0883 -2.3473 0.0000
4.0883 2.3473 0.0000
-0.0195 0.0000 5.9360
Tm Ir
3 2
Cartesian
0.0000 0.0000 0.0000 Tm
2.7204 0.0000 1.9966 Tm
5.4367 0.0000 3.9394 Tm
2.7094 0.0000 4.9256 Ir
5.4477 0.0000 1.0104 Ir
```